The following is a calculated PXRD pattern of Li3NiN2. It was derived from a crystal structure in Alexandria, relaxed with GGA-PBE, using Cu Kα.
Peak positions follow from Bragg's law for the DFT cell and can differ from measured ones.

Cell and atoms:
```
Li3NiN2
1.0
3.408 -3.107 0.000
3.408 3.107 0.000
0.000 0.000 6.025
Li Ni N
6 2 4
Cartesian
3.408 1.707 4.519
2.085 0.000 0.000
2.085 0.000 3.012
4.730 0.000 0.000
4.730 0.000 3.012
3.408 -1.707 1.506
3.408 2.065 1.506
3.408 -2.065 4.519
0.000 0.000 0.000
0.000 0.000 3.012
3.408 0.294 1.506
3.408 -0.294 4.519
```

Largest 6 diffraction maxima, sorted by position, 10 to 90 degrees two-theta:
d/Å  I_rel
4.592  25
3.652  100
3.408  57
2.257  26
2.011  18
1.656  20

The following is a calculated PXRD pattern of Sc2V2Ge2P. It was derived from a crystal structure in Alexandria, relaxed with GGA-PBE, using Cu Kα.
Peak positions follow from Bragg's law for the DFT cell and can differ from measured ones.

Cell and atoms:
```
Sc2V2Ge2P
1.0
-2.148 2.148 7.055
2.148 -2.148 7.055
2.148 2.148 -7.055
Sc V Ge P
2 2 2 1
Cartesian
0.000 0.000 2.466
0.000 0.000 11.644
2.148 0.000 0.000
0.000 2.148 0.000
0.000 0.000 5.284
0.000 0.000 8.826
0.000 0.000 0.000
```

Largest 6 diffraction maxima, sorted by position, 10 to 90 degrees two-theta:
d/Å  I_rel
7.055  46
3.038  52
2.359  68
2.302  100
2.148  89
1.587  59

The following is a calculated PXRD pattern of Hf5Ir3. It was derived from a crystal structure in Alexandria, relaxed with GGA-PBE, using Cu Kα.
Peak positions follow from Bragg's law for the DFT cell and can differ from measured ones.

Cell and atoms:
```
Hf5Ir3
1.0
10.460 0.000 0.000
0.000 10.460 0.000
0.000 0.000 5.686
Hf Ir
20 12
Cartesian
0.406 1.710 0.881
0.406 3.520 3.724
1.710 0.406 3.724
1.710 4.824 0.881
2.615 7.845 0.000
2.615 7.845 2.843
3.520 0.406 0.881
3.520 4.824 3.724
4.824 1.710 3.724
4.824 3.520 0.881
5.636 6.940 4.805
5.636 8.750 1.962
6.940 5.636 1.962
6.940 10.055 4.805
7.845 2.615 0.000
7.845 2.615 2.843
8.750 5.636 4.805
8.750 10.055 1.962
10.055 6.940 1.962
10.055 8.750 4.805
0.970 6.200 4.265
0.970 9.490 1.422
2.615 2.615 2.431
2.615 2.615 5.274
4.260 6.200 1.422
4.260 9.490 4.265
6.200 0.970 1.422
6.200 4.260 4.265
7.845 7.845 0.412
7.845 7.845 3.255
9.490 0.970 4.265
9.490 4.260 1.422
```

Largest 6 diffraction maxima, sorted by position, 10 to 90 degrees two-theta:
d/Å  I_rel
2.859  37
2.584  60
2.498  44
2.430  43
2.339  81
2.317  100

The following is a calculated PXRD pattern of HoEr3In4. It was derived from a crystal structure in Alexandria, relaxed with GGA-PBE, using Cu Kα.
Peak positions follow from Bragg's law for the DFT cell and can differ from measured ones.

Cell and atoms:
```
HoEr3In4
1.0
10.697 0.000 0.000
0.000 7.142 0.000
0.000 0.000 5.449
Ho Er In
2 6 8
Cartesian
0.000 0.000 0.000
5.348 0.000 0.000
0.000 3.571 0.000
2.674 0.000 2.318
2.674 3.571 2.309
5.348 3.571 0.000
8.023 0.000 3.131
8.023 3.571 3.140
0.000 1.792 2.724
0.000 5.350 2.724
2.674 1.791 4.990
2.674 5.351 4.990
5.348 1.792 2.724
5.348 5.350 2.724
8.023 1.791 0.459
8.023 5.351 0.459
```

Largest 6 diffraction maxima, sorted by position, 10 to 90 degrees two-theta:
d/Å  I_rel
2.724  19
2.674  30
2.640  10
2.608  100
1.908  13
1.531  19

The following is a calculated PXRD pattern of Nb5Pd2. It was derived from a crystal structure in Alexandria, relaxed with GGA-PBE, using Cu Kα.
Peak positions follow from Bragg's law for the DFT cell and can differ from measured ones.

Cell and atoms:
```
Nb5Pd2
1.0
-1.661 1.661 11.074
1.661 -1.661 11.074
1.661 1.661 -11.074
Nb Pd
5 2
Cartesian
0.000 0.000 0.000
0.000 0.000 3.310
0.000 0.000 9.430
0.000 0.000 12.719
0.000 0.000 18.838
0.000 0.000 6.343
0.000 0.000 15.805
```

Largest 6 diffraction maxima, sorted by position, 10 to 90 degrees two-theta:
d/Å  I_rel
2.350  55
2.291  100
1.661  19
1.345  35
1.312  15
1.146  10

The following is a calculated PXRD pattern of La2TaMnN5. It was derived from a crystal structure in Alexandria, relaxed with GGA-PBE, using Cu Kα.
Peak positions follow from Bragg's law for the DFT cell and can differ from measured ones.

Cell and atoms:
```
La2TaMnN5
1.0
1.656 -7.198 0.000
1.656 7.198 0.000
0.000 0.000 10.356
La Ta Mn N
4 2 2 10
Cartesian
1.656 5.467 5.178
1.656 5.319 1.379
1.656 -5.319 6.557
1.656 -5.467 0.000
1.656 4.258 8.614
1.656 -4.258 3.435
1.656 0.735 2.618
1.656 -0.735 7.796
1.656 6.647 8.519
1.656 2.883 4.797
1.656 2.571 2.002
1.656 2.343 8.450
1.656 0.025 1.023
1.656 -0.025 6.201
1.656 -2.343 3.271
1.656 -2.571 7.180
1.656 -2.883 9.975
1.656 -6.647 3.341
```

Largest 6 diffraction maxima, sorted by position, 10 to 90 degrees two-theta:
d/Å  I_rel
3.113  86
2.726  55
2.636  45
2.358  100
2.337  43
2.004  42

The following is a calculated PXRD pattern of LaSiPd4. It was derived from a crystal structure in Alexandria, relaxed with GGA-PBE, using Cu Kα.
Peak positions follow from Bragg's law for the DFT cell and can differ from measured ones.

Cell and atoms:
```
LaSiPd4
1.0
2.400 -6.841 0.000
2.400 6.841 0.000
0.000 0.000 6.890
La Si Pd
2 2 8
Cartesian
2.400 5.370 5.168
2.400 -5.370 1.723
2.400 1.728 5.168
2.400 -1.728 1.723
2.400 5.291 1.723
2.400 2.829 0.327
2.400 2.829 3.118
2.400 0.000 0.000
2.400 0.000 3.445
2.400 -2.829 3.772
2.400 -2.829 6.563
2.400 -5.291 5.168
```

Largest 6 diffraction maxima, sorted by position, 10 to 90 degrees two-theta:
d/Å  I_rel
2.742  100
2.427  67
2.400  58
2.377  90
1.707  45
1.336  20

The following is a calculated PXRD pattern of La2PuPdS5. It was derived from a crystal structure in Alexandria, relaxed with GGA-PBE, using Cu Kα.
Peak positions follow from Bragg's law for the DFT cell and can differ from measured ones.

Cell and atoms:
```
La2PuPdS5
1.0
1.981 -8.308 0.000
1.981 8.308 0.000
0.000 0.000 12.230
La Pu Pd S
4 2 2 10
Cartesian
1.981 6.437 6.115
1.981 6.304 10.391
1.981 -6.304 4.276
1.981 -6.437 0.000
1.981 5.315 2.184
1.981 -5.315 8.299
1.981 0.844 7.030
1.981 -0.844 0.915
1.981 8.024 2.138
1.981 3.247 10.219
1.981 3.226 6.344
1.981 2.595 2.111
1.981 0.062 10.944
1.981 -0.062 4.829
1.981 -2.595 8.226
1.981 -3.226 0.229
1.981 -3.247 4.104
1.981 -8.024 8.253
```

Largest 6 diffraction maxima, sorted by position, 10 to 90 degrees two-theta:
d/Å  I_rel
3.660  52
3.223  37
2.801  100
2.701  26
2.351  42
1.981  26